# 1
Diffraction record for La2TeN. The X-ray diffraction stick pattern is computed, not measured: it uses a DFT-relaxed cell (PBE, Alexandria) and Cu Kα (weighted mean of Kα1 and Kα2).

Most intense lines, 10 to 80 degrees two-theta, in order of rising 2θ:
| d_spacing | Position (°2θ) | I (rel.) |
| --- | --- | --- |
| 3.038 | 29.40 | 1000 |
| 2.985 | 29.93 | 243 |
| 2.896 | 30.88 | 190 |
| 2.226 | 40.53 | 101 |
| 2.079 | 43.54 | 170 |
| 1.784 | 51.19 | 100 |
| 1.734 | 52.81 | 213 |
| 1.698 | 54.00 | 131 |

Cell and atoms:
abc: 7.279 7.279 5.970
angles: 90.00 90.00 133.11
Sites, in units of the cell vectors:
La 0.114 0.310 0.000
La 0.310 0.114 0.500
La 0.690 0.886 0.500
La 0.886 0.690 0.000
Te 0.000 0.500 0.500
Te 0.500 0.000 0.000
N 0.000 0.000 0.250
N 0.000 0.000 0.750

---

# 2
Diffraction record for LaTl2TeN. The X-ray diffraction stick pattern is computed, not measured: it uses a DFT-relaxed cell (PBE, Alexandria) and Cu Kα (weighted mean of Kα1 and Kα2).

Most intense lines, 10 to 80 degrees two-theta, in order of rising 2θ:
| d_spacing | Position (°2θ) | I (rel.) |
| --- | --- | --- |
| 2.891 | 30.94 | 1000 |
| 2.593 | 34.60 | 405 |
| 2.349 | 38.31 | 153 |
| 1.833 | 49.73 | 146 |
| 1.741 | 52.57 | 247 |
| 1.548 | 59.73 | 316 |
| 1.445 | 64.47 | 133 |
| 1.440 | 64.72 | 124 |

Cell and atoms:
abc: 5.185 5.185 4.699
angles: 90.00 90.00 90.00
Sites, in units of the cell vectors:
La 0.000 0.000 0.000
Tl 0.000 0.500 0.500
Tl 0.500 0.000 0.500
Te 0.500 0.500 0.000
N 0.500 0.500 0.500

---

# 3
Diffraction record for La3ThN3. The X-ray diffraction stick pattern is computed, not measured: it uses a DFT-relaxed cell (PBE, Alexandria) and Cu Kα (weighted mean of Kα1 and Kα2).

Most intense lines, 10 to 80 degrees two-theta, in order of rising 2θ:
| d_spacing | Position (°2θ) | I (rel.) |
| --- | --- | --- |
| 3.573 | 24.92 | 341 |
| 3.014 | 29.64 | 1000 |
| 2.807 | 31.88 | 241 |
| 2.207 | 40.88 | 182 |
| 2.063 | 43.89 | 296 |
| 1.702 | 53.86 | 196 |
| 1.662 | 55.26 | 298 |
| 1.658 | 55.42 | 181 |

Cell and atoms:
abc: 8.251 8.251 5.615
angles: 90.00 90.00 120.00
Sites, in units of the cell vectors:
La 0.167 0.334 0.250
La 0.167 0.833 0.250
La 0.334 0.167 0.750
La 0.666 0.833 0.250
La 0.833 0.167 0.750
La 0.833 0.666 0.750
Th 0.333 0.667 0.750
Th 0.667 0.333 0.250
N 0.169 0.337 0.750
N 0.169 0.831 0.750
N 0.337 0.169 0.250
N 0.663 0.831 0.750
N 0.831 0.169 0.250
N 0.831 0.663 0.250

---

# 4
Diffraction record for LaTh3N4. The X-ray diffraction stick pattern is computed, not measured: it uses a DFT-relaxed cell (PBE, Alexandria) and Cu Kα (weighted mean of Kα1 and Kα2).

Most intense lines, 10 to 80 degrees two-theta, in order of rising 2θ:
| d_spacing | Position (°2θ) | I (rel.) |
| --- | --- | --- |
| 5.199 | 17.05 | 35 |
| 3.677 | 24.21 | 32 |
| 3.002 | 29.76 | 1000 |
| 2.600 | 34.50 | 677 |
| 1.838 | 49.59 | 486 |
| 1.568 | 58.91 | 472 |
| 1.501 | 61.81 | 167 |
| 1.300 | 72.75 | 78 |

Cell and atoms:
abc: 5.199 5.199 5.199
angles: 90.00 90.00 90.00
Sites, in units of the cell vectors:
La 0.000 0.000 0.000
Th 0.000 0.500 0.500
Th 0.500 0.000 0.500
Th 0.500 0.500 0.000
N 0.000 0.000 0.500
N 0.000 0.500 0.000
N 0.500 0.000 0.000
N 0.500 0.500 0.500

---

# 5
Diffraction record for LaYThN3. The X-ray diffraction stick pattern is computed, not measured: it uses a DFT-relaxed cell (PBE, Alexandria) and Cu Kα (weighted mean of Kα1 and Kα2).

Most intense lines, 10 to 80 degrees two-theta, in order of rising 2θ:
| d_spacing | Position (°2θ) | I (rel.) |
| --- | --- | --- |
| 3.076 | 29.03 | 450 |
| 3.035 | 29.43 | 612 |
| 2.972 | 30.07 | 259 |
| 2.855 | 31.33 | 1000 |
| 2.708 | 33.08 | 947 |
| 1.929 | 47.12 | 229 |
| 1.558 | 59.31 | 320 |
| 1.549 | 59.69 | 253 |

Cell and atoms:
abc: 6.202 3.628 9.308
angles: 90.00 101.93 90.00
Sites, in units of the cell vectors:
La 0.151 0.250 0.191
La 0.849 0.750 0.809
Y 0.358 0.250 0.864
Y 0.642 0.750 0.136
Th 0.266 0.750 0.547
Th 0.734 0.250 0.453
N 0.049 0.250 0.660
N 0.260 0.750 0.993
N 0.460 0.750 0.348
N 0.540 0.250 0.652
N 0.740 0.250 0.007
N 0.951 0.750 0.340

---

# 6
Diffraction record for La2ThZrN4. The X-ray diffraction stick pattern is computed, not measured: it uses a DFT-relaxed cell (PBE, Alexandria) and Cu Kα (weighted mean of Kα1 and Kα2).

Most intense lines, 10 to 80 degrees two-theta, in order of rising 2θ:
| d_spacing | Position (°2θ) | I (rel.) |
| --- | --- | --- |
| 2.975 | 30.04 | 356 |
| 2.918 | 30.64 | 1000 |
| 2.542 | 35.31 | 661 |
| 2.534 | 35.43 | 325 |
| 1.807 | 50.51 | 229 |
| 1.783 | 51.25 | 336 |
| 1.531 | 60.49 | 207 |
| 1.521 | 60.90 | 151 |

Cell and atoms:
abc: 6.174 3.566 6.288
angles: 90.00 108.85 90.00
Sites, in units of the cell vectors:
La 0.000 0.000 0.000
La 0.500 0.500 0.000
Th 0.000 0.500 0.500
Zr 0.500 0.000 0.500
N 0.260 0.000 0.716
N 0.275 0.500 0.285
N 0.725 0.500 0.715
N 0.740 0.000 0.284